1.
This entry pairs a crystal structure of MgH6Ir3 with its theoretical XRD peak list. Radiation: Cu Kα, 1.54184 Å. Structure: a crystal structure in Alexandria, relaxed with PBE.
Neutral-atom scattering factors, no anomalous dispersion.

Largest 12 diffraction maxima, by angle, 2θ from 10° to 80°:
d = 6.508 Å, I 100, (2 0 0); d = 3.270 Å, I 24, (2 0 1); d = 3.254 Å, I 22, (4 0 0); d = 2.835 Å, I 20, (1 1 0); d = 2.414 Å, I 19, (3 1 0); d = 2.339 Å, I 26, (4 0 1); d = 2.324 Å, I 54, (1 1 1); d = 2.279 Å, I 37, (2 0 -2); d = 2.262 Å, I 56, (3 1 -1); d = 2.190 Å, I 20, (6 0 -1); d = 1.997 Å, I 20, (3 1 1); d = 1.566 Å, I 20, (7 1 0)

Cell and atoms:
a = 13.4985 Å, b = 2.9048 Å, c = 4.5723 Å
α = 90.00°, β = 105.36°, γ = 90.00°
Space group Cm (No. 8)
Inequivalent atoms, fractional coordinates:
Mg 0.0000 0.0000 0.0000 [2 per cell]
H 0.0107 0.5000 0.3661 [2 per cell]
H 0.0947 0.5000 0.8366 [2 per cell]
H 0.1464 0.0000 0.3484 [2 per cell]
H 0.3061 0.5000 0.6320 [2 per cell]
H 0.3710 0.0000 0.9522 [2 per cell]
H 0.4442 0.5000 0.5297 [2 per cell]
Ir 0.1894 0.5000 0.1387 [2 per cell]
Ir 0.2446 0.0000 0.7061 [2 per cell]
Ir 0.3891 0.0000 0.3416 [2 per cell]

---

2.
This entry pairs a crystal structure of Ba3InHg7 with its theoretical XRD peak list. Radiation: Cu Kα, 1.54184 Å. Structure: a crystal structure in Alexandria, relaxed with PBE.
Neutral-atom scattering factors, no anomalous dispersion.

Largest 12 diffraction maxima, by angle, 2θ from 10° to 80°:
d = 4.535 Å, I 51, (1 1 0); d = 3.337 Å, I 29, (0 2 4); d = 3.284 Å, I 23, (1 5 0); d = 3.196 Å, I 24, (1 5 1); d = 3.019 Å, I 37, (1 3 3); d = 2.970 Å, I 100, (1 5 2); d = 2.762 Å, I 34, (1 1 4); d = 2.708 Å, I 51, (0 2 5); d = 2.594 Å, I 31, (0 6 4); d = 2.374 Å, I 29, (1 1 5); d = 2.312 Å, I 52, (2 0 0); d = 2.136 Å, I 33, (1 7 4)

Cell and atoms:
a = 4.6233 Å, b = 23.3245 Å, c = 13.9326 Å
α = 90.00°, β = 90.00°, γ = 90.00°
Space group Cmcm (No. 63)
Inequivalent atoms, fractional coordinates:
Ba 0.0000 0.0969 0.0442 [8 per cell]
Ba 0.0000 0.2360 0.7500 [4 per cell]
In 0.0000 0.0440 0.7500 [4 per cell]
Hg 0.0000 0.2879 0.5208 [8 per cell]
Hg 0.0000 0.3662 0.1469 [8 per cell]
Hg 0.0000 0.3904 0.7500 [4 per cell]
Hg 0.0000 0.4940 0.1182 [8 per cell]

---

3.
This entry pairs a crystal structure of Pm3RuI with its theoretical XRD peak list. Radiation: Cu Kα, 1.54184 Å. Structure: a crystal structure in Alexandria, relaxed with PBE.
Neutral-atom scattering factors, no anomalous dispersion.

Largest 12 diffraction maxima, by angle, 2θ from 10° to 80°:
d = 3.420 Å, I 36, (0 2 1); d = 3.223 Å, I 74, (1 0 2); d = 2.652 Å, I 100, (1 2 1); d = 2.515 Å, I 33, (0 0 4); d = 2.465 Å, I 33, (0 2 3); d = 2.126 Å, I 35, (1 2 3); d = 2.099 Å, I 26, (2 0 0); d = 1.818 Å, I 16, (0 4 0); d = 1.623 Å, I 22, (1 2 5); d = 1.611 Å, I 18, (2 0 4); d = 1.598 Å, I 18, (2 2 3); d = 1.584 Å, I 18, (1 4 2)

Cell and atoms:
a = 4.1981 Å, b = 7.2734 Å, c = 10.0590 Å
α = 90.00°, β = 90.00°, γ = 90.00°
Space group Pmmn (No. 59, origin choice 2)
Inequivalent atoms, fractional coordinates:
Pm 0.2500 0.9996 0.1438 [4 per cell]
Pm 0.2500 0.2500 0.6158 [2 per cell]
Ru 0.2500 0.2500 0.9006 [2 per cell]
I 0.2500 0.7500 0.6428 [2 per cell]

---

4.
This entry pairs a crystal structure of Nd4TePt2 with its theoretical XRD peak list. Radiation: Cu Kα, 1.54184 Å. Structure: a crystal structure in Alexandria, relaxed with PBE.
Neutral-atom scattering factors, no anomalous dispersion.

Largest 12 diffraction maxima, by angle, 2θ from 10° to 80°:
d = 7.258 Å, I 51, (1 1 1); d = 4.445 Å, I 15, (2 0 2); d = 3.790 Å, I 52, (1 3 1); d = 3.146 Å, I 55, (0 4 0); d = 3.136 Å, I 27, (4 0 0); d = 2.422 Å, I 43, (1 1 5); d = 2.414 Å, I 21, (5 1 1); d = 2.222 Å, I 100, (4 4 0); d = 1.815 Å, I 18, (4 4 4); d = 1.759 Å, I 11, (5 1 5); d = 1.284 Å, I 15, (4 8 4); d = 1.217 Å, I 11, (5 1 9)

Cell and atoms:
a = 12.5426 Å, b = 12.5775 Å, c = 12.5940 Å
α = 90.00°, β = 90.00°, γ = 90.00°
Space group Fddd (No. 70, origin choice 2)
Inequivalent atoms, fractional coordinates:
Nd 0.0180 0.0178 0.2320 [32 per cell]
Te 0.1250 0.1250 0.6250 [8 per cell]
Pt 0.0000 0.0000 0.0000 [16 per cell]

---

5.
This entry pairs a crystal structure of TbTl3Br6 with its theoretical XRD peak list. Radiation: Cu Kα, 1.54184 Å. Structure: a crystal structure in Alexandria, relaxed with PBE.
Neutral-atom scattering factors, no anomalous dispersion.

Largest 12 diffraction maxima, by angle, 2θ from 10° to 80°:
d = 4.306 Å, I 36, (0 2 0); d = 4.137 Å, I 100, (1 1 1); d = 3.965 Å, I 99, (1 1 -3); d = 3.895 Å, I 35, (2 0 -2); d = 3.335 Å, I 37, (2 1 -3); d = 3.104 Å, I 38, (1 1 -4); d = 2.889 Å, I 61, (2 2 -2); d = 2.839 Å, I 64, (0 0 4); d = 2.633 Å, I 40, (1 3 0); d = 2.369 Å, I 36, (0 2 4); d = 2.325 Å, I 52, (3 1 -1); d = 2.233 Å, I 68, (2 0 -6)

Cell and atoms:
a = 7.8031 Å, b = 8.6129 Å, c = 13.4151 Å
α = 90.00°, β = 122.22°, γ = 90.00°
Space group P2_1/c (No. 14)
Inequivalent atoms, fractional coordinates:
Tb 0.0000 0.0000 0.0000 [2 per cell]
Tl 0.2982 0.0790 0.7681 [4 per cell]
Tl 0.5000 0.0000 0.5000 [2 per cell]
Br 0.0954 0.0618 0.2311 [4 per cell]
Br 0.2382 0.7261 0.0790 [4 per cell]
Br 0.3455 0.1681 0.0460 [4 per cell]

---

6.
This entry pairs a crystal structure of TlOsCl6 with its theoretical XRD peak list. Radiation: Cu Kα, 1.54184 Å. Structure: a crystal structure in Alexandria, relaxed with PBE.
Neutral-atom scattering factors, no anomalous dispersion.

Largest 12 diffraction maxima, by angle, 2θ from 10° to 80°:
d = 4.985 Å, I 100, (0 1 2); d = 3.653 Å, I 66, (1 0 4); d = 3.409 Å, I 29, (1 1 0); d = 2.814 Å, I 39, (2 0 2); d = 2.293 Å, I 41, (1 1 6); d = 2.170 Å, I 20, (1 2 2); d = 2.163 Å, I 12, (0 1 8); d = 2.012 Å, I 28, (2 1 4); d = 1.704 Å, I 14, (2 2 0); d = 1.662 Å, I 15, (3 0 6); d = 1.610 Å, I 11, (1 2 8); d = 1.340 Å, I 11, (2 3 2)

Cell and atoms:
a = 6.8178 Å, b = 6.8178 Å, c = 18.5985 Å
α = 90.00°, β = 90.00°, γ = 120.00°
Space group R-3m (No. 166, hexagonal axes)
Inequivalent atoms, fractional coordinates:
Tl 0.0000 0.0000 0.0000 [3 per cell]
Os 0.0000 0.0000 0.5000 [3 per cell]
Cl 0.0135 0.5068 0.0944 [18 per cell]

---

7.
This entry pairs a crystal structure of AcPm2Pr4Sm with its theoretical XRD peak list. Radiation: Cu Kα, 1.54184 Å. Structure: a crystal structure in Alexandria, relaxed with PBE.
Neutral-atom scattering factors, no anomalous dispersion.

Largest 12 diffraction maxima, by angle, 2θ from 10° to 80°:
d = 3.039 Å, I 100, (1 1 2); d = 2.635 Å, I 34, (0 2 0); d = 2.627 Å, I 17, (2 0 0); d = 1.862 Å, I 31, (2 2 0); d = 1.858 Å, I 6, (2 0 4); d = 1.588 Å, I 29, (1 3 2); d = 1.585 Å, I 15, (3 1 2); d = 1.520 Å, I 13, (2 2 4); d = 1.317 Å, I 4, (0 4 0); d = 1.208 Å, I 9, (1 3 6); d = 1.207 Å, I 6, (3 3 2); d = 1.206 Å, I 3, (3 1 6)

Cell and atoms:
a = 5.2537 Å, b = 5.2710 Å, c = 10.5346 Å
α = 90.00°, β = 90.12°, γ = 90.00°
Space group P2/m (No. 10)
Inequivalent atoms, fractional coordinates:
Ac 0.0000 0.0000 0.0000 [1 per cell]
Pm 0.0000 0.0000 0.5000 [1 per cell]
Pm 0.5000 0.5000 0.0000 [1 per cell]
Pr 0.0001 0.5000 0.2563 [2 per cell]
Pr 0.4995 0.0000 0.7433 [2 per cell]
Sm 0.5000 0.5000 0.5000 [1 per cell]

---

8.
This entry pairs a crystal structure of NaLiAu with its theoretical XRD peak list. Radiation: Cu Kα, 1.54184 Å. Structure: a crystal structure in Alexandria, relaxed with PBE.
Neutral-atom scattering factors, no anomalous dispersion.

Largest 12 diffraction maxima, by angle, 2θ from 10° to 80°:
d = 4.401 Å, I 100, (1 0 1); d = 3.699 Å, I 37, (0 0 2); d = 2.952 Å, I 16, (0 1 0); d = 2.738 Å, I 23, (2 0 0); d = 2.452 Å, I 65, (1 1 1); d = 2.308 Å, I 25, (0 1 2); d = 2.249 Å, I 25, (1 0 3); d = 2.201 Å, I 21, (2 0 2); d = 2.007 Å, I 13, (2 1 0); d = 1.789 Å, I 18, (1 1 3); d = 1.764 Å, I 20, (2 1 2); d = 1.519 Å, I 15, (3 1 1)

Cell and atoms:
a = 5.4750 Å, b = 2.9523 Å, c = 7.3987 Å
α = 90.00°, β = 90.00°, γ = 90.00°
Space group Pmma (No. 51)
Inequivalent atoms, fractional coordinates:
Na 0.2500 0.0000 0.1209 [2 per cell]
Li 0.0000 0.0000 0.5000 [2 per cell]
Au 0.2500 0.5000 0.7420 [2 per cell]

---

9.
This entry pairs a crystal structure of YThHg4 with its theoretical XRD peak list. Radiation: Cu Kα, 1.54184 Å. Structure: a crystal structure in Alexandria, relaxed with PBE.
Neutral-atom scattering factors, no anomalous dispersion.

Largest 12 diffraction maxima, by angle, 2θ from 10° to 80°:
d = 3.458 Å, I 15, (2 0 0); d = 2.706 Å, I 67, (2 2 0); d = 2.701 Å, I 33, (3 1 -1); d = 2.506 Å, I 100, (2 0 -2); d = 2.028 Å, I 18, (1 3 1); d = 1.842 Å, I 11, (0 2 2); d = 1.836 Å, I 22, (4 2 -2); d = 1.729 Å, I 11, (4 0 0); d = 1.482 Å, I 16, (1 5 1); d = 1.448 Å, I 12, (3 3 -3); d = 1.424 Å, I 12, (3 3 1); d = 1.422 Å, I 17, (6 0 -2)

Cell and atoms:
a = 8.5306 Å, b = 8.6679 Å, c = 5.0187 Å
α = 90.00°, β = 125.82°, γ = 90.00°
Space group C2/m (No. 12)
Inequivalent atoms, fractional coordinates:
Y 0.0000 0.0000 0.0000 [2 per cell]
Th 0.0000 0.5000 0.5000 [2 per cell]
Hg 0.2472 0.3331 0.2470 [8 per cell]